Simulated XRD peak list
Compound: Na14Ag2S9
Radiation: Cu Kα X-rays
Structure: a cell relaxed with GGA-PBE

Main lines, by intensity (10 to 90 degrees two-theta):
- (0 1 1), d 5.866, 2θ = 15.10°, rel. 100.0
- (2 -1 4), d 2.275, 2θ = 39.61°, rel. 69.7
- (3 0 0), d 2.305, 2θ = 39.07°, rel. 65.6
- (2 -1 1), d 3.756, 2θ = 23.69°, rel. 32.3
- (3 -2 1), d 2.544, 2θ = 35.28°, rel. 30.3
- (1 1 2), d 3.239, 2θ = 27.54°, rel. 21.9
- (0 1 3), d 3.257, 2θ = 27.38°, rel. 20.6
- (2 0 1), d 3.301, 2θ = 27.01°, rel. 20.1
- (2 2 4), d 1.619, 2θ = 56.86°, rel. 19.4
- (5 -1 4), d 1.325, 2θ = 71.15°, rel. 16.3
- (0 0 3), d 3.692, 2θ = 24.11°, rel. 16.2
- (3 1 1), d 1.890, 2θ = 48.14°, rel. 11.9

Crystal structure
Cell lengths 7.986, 7.986, 11.075 Å; angles 90.00, 90.00, 120.00 degrees
Fractional coordinates of all 25 atoms:
1 Na 0.000 0.000 0.248
2 Na 0.000 0.000 0.752
3 Na 0.019 0.670 0.408
4 Na 0.048 0.372 0.095
5 Na 0.324 0.952 0.095
6 Na 0.330 0.349 0.408
7 Na 0.349 0.019 0.592
8 Na 0.372 0.324 0.905
9 Na 0.628 0.676 0.095
10 Na 0.651 0.981 0.408
11 Na 0.670 0.651 0.592
12 Na 0.676 0.048 0.905
13 Na 0.952 0.628 0.905
14 Na 0.981 0.330 0.592
15 Ag 0.333 0.667 0.759
16 Ag 0.667 0.333 0.241
17 S 0.000 0.000 0.500
18 S 0.042 0.347 0.840
19 S 0.305 0.958 0.840
20 S 0.333 0.667 0.525
21 S 0.347 0.305 0.160
22 S 0.653 0.695 0.840
23 S 0.667 0.333 0.475
24 S 0.695 0.042 0.160
25 S 0.958 0.653 0.160